Diffraction record for CaZn2Sb2. The powder X-ray diffraction pattern is theoretical, not measured: it uses DFT lattice parameters and positions (GGA-PBE) and copper Kα.
Kinematic intensities with the Lorentz-polarization factor, no thermal factor.

Structure:
Unit cell a=4.409 b=7.188 c=7.188 alpha=35.24 beta=90.00 gamma=90.00
Fractional coordinates of all 5 atoms:
Ca 0.000 0.000 0.000
Zn 0.000 0.701 0.701
Zn 0.500 0.208 0.208
Sb 0.000 0.321 0.321
Sb 0.500 0.570 0.570

Main lines, by angle (5 to 70 degrees two-theta):
2θ = 12.92°, I = 26.2; 2θ = 21.43°, I = 25.8; 2θ = 24.00°, I = 48.8; 2θ = 28.33°, I = 30.4; 2θ = 35.01°, I = 100.0; 2θ = 40.94°, I = 24.1; 2θ = 41.51°, I = 23.2; 2θ = 44.13°, I = 30.6


Diffraction record for CaZn2Sb. The powder X-ray diffraction pattern is theoretical, not measured: it uses DFT lattice parameters and positions (GGA-PBE) and copper Kα.
Kinematic intensities with the Lorentz-polarization factor, no thermal factor.

Structure:
Unit cell a=4.406 b=4.406 c=6.205 alpha=110.87 beta=110.87 gamma=59.87
Fractional coordinates of all 4 atoms:
Ca 0.000 0.000 0.000
Zn 0.229 0.229 0.689
Zn 0.536 0.536 0.609
Sb 0.789 0.789 0.367

Main lines, by angle (5 to 70 degrees two-theta):
2θ = 15.67°, I = 43.0; 2θ = 31.55°, I = 100.0; 2θ = 35.41°, I = 36.6; 2θ = 40.99°, I = 73.4; 2θ = 44.14°, I = 19.5; 2θ = 44.28°, I = 22.2; 2θ = 52.62°, I = 22.5; 2θ = 65.18°, I = 17.9


Diffraction record for CaZn2Sb. The powder X-ray diffraction pattern is theoretical, not measured: it uses DFT lattice parameters and positions (GGA-PBE) and copper Kα.
Kinematic intensities with the Lorentz-polarization factor, no thermal factor.

Structure:
Unit cell a=4.352 b=4.733 c=5.025 alpha=90.00 beta=90.84 gamma=90.00
Fractional coordinates of all 4 atoms:
Ca 0.000 0.000 0.000
Zn 0.414 0.500 0.768
Zn 0.586 0.500 0.232
Sb 0.500 0.000 0.500

Main lines, by angle (5 to 70 degrees two-theta):
2θ = 20.41°, I = 100.0; 2θ = 27.31°, I = 61.4; 2θ = 33.00°, I = 93.8; 2θ = 38.02°, I = 47.4; 2θ = 40.66°, I = 76.3; 2θ = 43.53°, I = 28.0; 2θ = 45.66°, I = 31.6; 2θ = 46.16°, I = 26.8


Diffraction record for Ca9Zn4Sb9. The powder X-ray diffraction pattern is theoretical, not measured: it uses DFT lattice parameters and positions (GGA-PBE) and copper Kα.
Kinematic intensities with the Lorentz-polarization factor, no thermal factor.

Structure:
Unit cell a=12.497 b=21.897 c=4.557 alpha=90.00 beta=90.00 gamma=90.00
Fractional coordinates of all 44 atoms:
Ca 0.000 0.000 0.000
Ca 0.067 0.409 0.500
Ca 0.125 0.236 0.500
Ca 0.132 0.863 0.500
Ca 0.209 0.602 0.000
Ca 0.291 0.102 0.000
Ca 0.368 0.363 0.500
Ca 0.375 0.736 0.500
Ca 0.433 0.909 0.500
Ca 0.500 0.500 0.000
Ca 0.567 0.091 0.500
Ca 0.625 0.264 0.500
Ca 0.632 0.637 0.500
Ca 0.709 0.898 0.000
Ca 0.791 0.398 0.000
Ca 0.868 0.137 0.500
Ca 0.875 0.764 0.500
Ca 0.933 0.591 0.500
Zn 0.113 0.763 0.000
Zn 0.225 0.454 0.000
Zn 0.275 0.954 0.000
Zn 0.387 0.263 0.000
Zn 0.613 0.737 0.000
Zn 0.725 0.046 0.000
Zn 0.775 0.546 0.000
Zn 0.887 0.237 0.000
Sb 0.000 0.500 0.000
Sb 0.044 0.146 0.000
Sb 0.117 0.695 0.500
Sb 0.193 0.007 0.500
Sb 0.193 0.332 0.000
Sb 0.307 0.507 0.500
Sb 0.307 0.832 0.000
Sb 0.383 0.195 0.500
Sb 0.456 0.646 0.000
Sb 0.500 0.000 0.000
Sb 0.544 0.354 0.000
Sb 0.617 0.805 0.500
Sb 0.693 0.168 0.000
Sb 0.693 0.493 0.500
Sb 0.807 0.668 0.000
Sb 0.807 0.993 0.500
Sb 0.883 0.305 0.500
Sb 0.956 0.854 0.000

Main lines, by angle (5 to 70 degrees two-theta):
2θ = 24.10°, I = 70.4; 2θ = 24.59°, I = 100.0; 2θ = 29.33°, I = 49.3; 2θ = 29.74°, I = 50.1; 2θ = 31.75°, I = 64.1; 2θ = 32.23°, I = 62.2; 2θ = 39.55°, I = 80.2; 2θ = 41.12°, I = 61.5


Diffraction record for Ca5Sc. The powder X-ray diffraction pattern is theoretical, not measured: it uses DFT lattice parameters and positions (GGA-PBE) and copper Kα.
Kinematic intensities with the Lorentz-polarization factor, no thermal factor.

Structure:
Unit cell a=7.261 b=7.261 c=8.989 alpha=106.02 beta=106.02 gamma=30.38
Fractional coordinates of all 6 atoms:
Ca 0.000 0.000 0.000
Ca 0.041 0.041 0.615
Ca 0.315 0.315 0.691
Ca 0.369 0.369 0.250
Ca 0.659 0.659 0.335
Sc 0.704 0.704 0.937

Main lines, by angle (5 to 70 degrees two-theta):
2θ = 27.20°, I = 15.5; 2θ = 27.62°, I = 17.0; 2θ = 28.66°, I = 35.8; 2θ = 30.82°, I = 100.0; 2θ = 31.20°, I = 34.0; 2θ = 39.93°, I = 9.8; 2θ = 48.59°, I = 13.9; 2θ = 52.14°, I = 17.7


Diffraction record for Ca2Sc. The powder X-ray diffraction pattern is theoretical, not measured: it uses DFT lattice parameters and positions (GGA-PBE) and copper Kα.
Kinematic intensities with the Lorentz-polarization factor, no thermal factor.

Structure:
Unit cell a=8.223 b=8.223 c=8.223 alpha=154.25 beta=154.25 gamma=36.73
Fractional coordinates of all 3 atoms:
Ca 0.155 0.155 0.000
Ca 0.845 0.845 0.000
Sc 0.500 0.500 0.000

Main lines, by angle (5 to 70 degrees two-theta):
2θ = 29.82°, I = 100.0; 2θ = 34.48°, I = 15.0; 2θ = 34.62°, I = 33.8; 2θ = 49.66°, I = 19.3; 2θ = 49.77°, I = 10.9; 2θ = 58.92°, I = 9.3; 2θ = 59.11°, I = 24.2; 2θ = 61.95°, I = 9.3